Record 1
The following is a theoretical X-ray powder pattern of VNiGe. It was derived from a GGA-PBE-relaxed structure, using a wavelength of 1.5418 Å.
Peak positions follow from Bragg's law for the DFT cell and can differ from measured ones.

Atomic structure:
Cell lengths 3.9181, 3.1968, 6.3297 Å; angles 90.00, 100.01, 90.00 degrees
Space group P2_1/m (No. 11)
Inequivalent atoms, fractional coordinates:
V 0.2478 0.2500 0.4916 (multiplicity 2)
Ni 0.1640 0.7500 0.1638 (multiplicity 2)
Ge 0.3322 0.7500 0.8156 (multiplicity 2)

Main lines, in order of rising 2θ (5° ≤ 2θ ≤ 70°):
hkl 1 1 0, d = 2.462 Å, I 252; hkl 1 1 -1, d = 2.382 Å, I 79; hkl 1 1 1, d = 2.208 Å, I 1000; hkl 0 0 3, d = 2.078 Å, I 507; hkl 1 1 -2, d = 2.045 Å, I 880; hkl 2 0 -1, d = 1.941 Å, I 190; hkl 2 0 0, d = 1.929 Å, I 164; hkl 1 1 2, d = 1.835 Å, I 77; hkl 2 0 -2, d = 1.785 Å, I 74; hkl 0 2 0, d = 1.598 Å, I 221

***

Record 2
The following is a theoretical X-ray powder pattern of MnCdHgTeBr. It was derived from a GGA-PBE-relaxed structure, using a wavelength of 1.5418 Å.
Peak positions follow from Bragg's law for the DFT cell and can differ from measured ones.

Atomic structure:
Cell lengths 3.8636, 3.8636, 9.5297 Å; angles 90.00, 90.00, 90.00 degrees
Space group P4mm (No. 99)
Inequivalent atoms, fractional coordinates:
Mn 0.0000 0.0000 0.0000 (multiplicity 1)
Cd 0.0000 0.0000 0.7096 (multiplicity 1)
Hg 0.0000 0.0000 0.2944 (multiplicity 1)
Te 0.5000 0.5000 0.9732 (multiplicity 1)
Br 0.5000 0.5000 0.5609 (multiplicity 1)

Main lines, in order of rising 2θ (5° ≤ 2θ ≤ 70°):
hkl 1 0 1, d = 3.580 Å, I 224; hkl 0 0 3, d = 3.177 Å, I 304; hkl 1 0 2, d = 3.001 Å, I 1000; hkl 1 1 0, d = 2.732 Å, I 830; hkl 1 0 3, d = 2.454 Å, I 188; hkl 1 1 3, d = 2.071 Å, I 366; hkl 2 0 0, d = 1.932 Å, I 299; hkl 1 0 5, d = 1.709 Å, I 197; hkl 2 0 3, d = 1.651 Å, I 178; hkl 2 1 2, d = 1.624 Å, I 329